This entry pairs a crystal structure of K2Hg6Bi with its theoretical PXRD pattern. Radiation: a wavelength of 1.5418 Å. Structure: a DFT-relaxed cell (PBE, Alexandria).
Peak positions follow from Bragg's law for the DFT cell and can differ from measured ones.

Structural model:
Unit cell a=7.0033 b=7.0033 c=6.6094 alpha=90.00 beta=90.00 gamma=120.00
Space group P-3m1 (No. 164)
One atom of each set of equivalent atoms:
K1 0.3333 0.6667 0.1588 [2 per cell]
Hg1 0.1835 0.3670 0.6573 [6 per cell]
Bi1 0.0000 0.0000 0.0000 [1 per cell]

Most intense lines, 10 to 90 degrees two-theta, sorted by position:
| (hkl) | Position (°2θ) | intensity |
| --- | --- | --- |
| 0 0 1 | 13.40 | 21 |
| 1 0 0 | 14.61 | 15 |
| 1 0 1 | 19.87 | 36 |
| 1 1 1 | 28.85 | 26 |
| 0 1 2 | 30.81 | 28 |
| 2 0 1 | 32.48 | 100 |
| 2 1 0 | 39.30 | 24 |
| 0 2 2 | 40.37 | 50 |
| 0 0 3 | 40.96 | 15 |
| 2 2 0 | 52.25 | 23 |
| 2 1 3 | 58.07 | 19 |
| 2 2 3 | 68.45 | 16 |